Starting from a crystal structure in Alexandria, relaxed with PBE, the powder XRD pattern of TbYBiPb was simulated for a wavelength of 1.5418 Å.
Lines closer than 0.1° are merged.

Largest 6 diffraction maxima, most intense first, 10 to 80 degrees two-theta:
- 28.19°, rel. 100, hkl 1 1 0
- 40.29°, rel. 78, hkl 2 0 0
- 49.90°, rel. 28, hkl 2 0 2
- 65.94°, rel. 25, hkl 3 1 0
- 73.21°, rel. 18, hkl 3 1 2
- 66.09°, rel. 12, hkl 1 1 4

Cell and atoms:
```
data_TbYBiPb
_chemical_formula_sum 'Tb1 Y1 Bi1 Pb1'
_space_group_name_H-M_alt 'P 4/m m m'
_space_group_IT_number 123
_space_group_name_Hall '-P 4 2'
_cell_length_a 4.481
_cell_length_b 4.481
_cell_length_c 6.319
_cell_angle_alpha 90.00
_cell_angle_beta 90.00
_cell_angle_gamma 90.00
loop_
_atom_site_label
_atom_site_type_symbol
_atom_site_fract_x
_atom_site_fract_y
_atom_site_fract_z
Tb1 Tb 0.000 0.000 0.000
Y1 Y 0.500 0.500 0.500
Bi1 Bi 0.500 0.500 0.000
Pb1 Pb 0.000 0.000 0.500
```

---

Starting from a crystal structure in Alexandria, relaxed with PBE, the powder XRD pattern of Bi6Te10Pb was simulated for a wavelength of 1.5418 Å.
Lines closer than 0.1° are merged.

Largest 6 diffraction maxima, most intense first, 10 to 80 degrees two-theta:
- 27.07°, rel. 100, hkl 0 1 17
- 40.37°, rel. 37, hkl 1 1 0
- 36.86°, rel. 37, hkl 1 0 34
- 49.28°, rel. 20, hkl 2 0 17
- 65.53°, rel. 17, hkl 1 2 17
- 60.62°, rel. 14, hkl 1 1 51

Cell and atoms:
```
data_Bi6Te10Pb
_chemical_formula_sum 'Bi18 Te30 Pb3'
_space_group_name_H-M_alt 'R -3 m'
_space_group_IT_number 166
_space_group_name_Hall '-R 3 2"'
_cell_length_a 4.4680
_cell_length_b 4.4680
_cell_length_c 106.7764
_cell_angle_alpha 90.00
_cell_angle_beta 90.00
_cell_angle_gamma 120.00
loop_
_atom_site_label
_atom_site_type_symbol
_atom_site_fract_x
_atom_site_fract_y
_atom_site_fract_z
Bi1 Bi 0.0000 0.0000 0.0301
Bi2 Bi 0.0000 0.0000 0.2044
Bi3 Bi 0.0000 0.0000 0.2650
Te1 Te 0.0000 0.0000 0.0844
Te2 Te 0.0000 0.0000 0.1480
Te3 Te 0.0000 0.0000 0.3193
Te4 Te 0.0000 0.0000 0.3826
Te5 Te 0.0000 0.0000 0.4463
Pb1 Pb 0.0000 0.0000 0.5000
```

---

Starting from a crystal structure in Alexandria, relaxed with PBE, the powder XRD pattern of Bi2Te5Pb2 was simulated for a wavelength of 1.5418 Å.
Lines closer than 0.1° are merged.

Largest 6 diffraction maxima, most intense first, 10 to 80 degrees two-theta:
- 26.95°, rel. 100, hkl 0 1 3
- 39.98°, rel. 38, hkl 1 1 0
- 36.93°, rel. 37, hkl 1 0 6
- 64.91°, rel. 21, hkl 1 2 3
- 48.88°, rel. 20, hkl 2 0 3
- 60.65°, rel. 12, hkl 1 1 9

Cell and atoms:
```
data_Bi2Te5Pb2
_chemical_formula_sum 'Bi2 Te5 Pb2'
_space_group_name_H-M_alt 'P -3 m 1'
_space_group_IT_number 164
_space_group_name_Hall '-P 3 2"'
_cell_length_a 4.5101
_cell_length_b 4.5101
_cell_length_c 18.6726
_cell_angle_alpha 90.00
_cell_angle_beta 90.00
_cell_angle_gamma 120.00
loop_
_atom_site_label
_atom_site_type_symbol
_atom_site_fract_x
_atom_site_fract_y
_atom_site_fract_z
Bi1 Bi 0.3333 0.6667 0.1072
Te1 Te 0.0000 0.0000 0.0000
Te2 Te 0.3333 0.6667 0.4229
Te3 Te 0.3333 0.6667 0.8023
Pb1 Pb 0.0000 0.0000 0.3371
```

---

Starting from a crystal structure in Alexandria, relaxed with PBE, the powder XRD pattern of Bi3Te5Pb was simulated for a wavelength of 1.5418 Å.
Lines closer than 0.1° are merged.

Largest 6 diffraction maxima, most intense first, 10 to 80 degrees two-theta:
- 27.07°, rel. 100, hkl 0 1 3
- 39.01°, rel. 40, hkl 1 1 0
- 38.28°, rel. 36, hkl 1 0 6
- 48.13°, rel. 21, hkl 2 0 3
- 63.61°, rel. 19, hkl 1 2 3
- 70.18°, rel. 13, hkl 2 1 6

Cell and atoms:
```
data_Bi3Te5Pb
_chemical_formula_sum 'Bi3 Te5 Pb1'
_space_group_name_H-M_alt 'P 3 m 1'
_space_group_IT_number 156
_cell_length_a 4.6176
_cell_length_b 4.6176
_cell_length_c 17.4379
_cell_angle_alpha 90.00
_cell_angle_beta 90.00
_cell_angle_gamma 120.00
loop_
_space_group_symop_operation_xyz
'x,y,z'
'-y,x-y,z'
'-x+y,-x,z'
'-y,-x,z'
'-x+y,y,z'
'x,x-y,z'
loop_
_atom_site_label
_atom_site_type_symbol
_atom_site_fract_x
_atom_site_fract_y
_atom_site_fract_z
Bi1 Bi 0.0000 0.0000 0.0000
Bi2 Bi 0.3333 0.6667 0.4378
Bi3 Bi 0.6667 0.3333 0.2204
Te1 Te 0.0000 0.0000 0.3253
Te2 Te 0.3333 0.6667 0.1217
Te3 Te 0.3333 0.6667 0.7615
Te4 Te 0.6667 0.3333 0.5296
Te5 Te 0.6667 0.3333 0.9108
Pb1 Pb 0.0000 0.0000 0.6715
```